Starting from the GGA+U geometry in Alexandria, the X-ray powder pattern of Li6TiNi7O16 was calculated for copper Kα.
Peak positions follow from Bragg's law for the DFT cell and can differ from measured ones.

Structure:
Cell: 6.461 6.544 7.799 Å, 76.47 65.75 70.91°
Space group P1 (No. 1)
Inequivalent atoms, fractional coordinates:
Li (0.000, 0.000, 0.000) x1
Li (0.104, 0.894, 0.627) x1
Li (0.214, 0.779, 0.253) x1
Li (0.494, 0.496, 0.510) x1
Li (0.600, 0.411, 0.121) x1
Li (0.726, 0.273, 0.748) x1
Ti (0.544, 0.971, 0.317) x1
Ni (0.053, 0.464, 0.808) x1
Ni (0.161, 0.328, 0.441) x1
Ni (0.293, 0.204, 0.066) x1
Ni (0.418, 0.074, 0.692) x1
Ni (0.665, 0.829, 0.942) x1
Ni (0.796, 0.706, 0.570) x1
Ni (0.923, 0.577, 0.184) x1
O (0.099, 0.186, 0.700) x1
O (0.117, 0.611, 0.545) x1
O (0.230, 0.031, 0.344) x1
O (0.237, 0.457, 0.182) x1
O (0.340, 0.941, 0.975) x1
O (0.385, 0.333, 0.773) x1
O (0.479, 0.816, 0.577) x1
O (0.495, 0.239, 0.397) x1
O (0.601, 0.690, 0.196) x1
O (0.623, 0.096, 0.034) x1
O (0.715, 0.567, 0.855) x1
O (0.735, 0.960, 0.689) x1
O (0.838, 0.444, 0.480) x1
O (0.881, 0.837, 0.273) x1
O (0.977, 0.321, 0.076) x1
O (0.981, 0.744, 0.909) x1

Largest 12 diffraction maxima, in order of falling intensity, 5° ≤ 2θ ≤ 70°:
18.29°, I = 100
42.69°, I = 22
44.05°, I = 20
44.76°, I = 19
37.00°, I = 16
35.57°, I = 15
36.48°, I = 12
63.38°, I = 6
64.13°, I = 6
62.65°, I = 6
63.01°, I = 5
65.47°, I = 5